Structure and calculated PXRD pattern of Tb8O13 (DFT lattice parameters and positions (GGA-PBE); Cu Kα (weighted mean of Kα1 and Kα2)).
No peak broadening, texture or thermal motion is included.

Structure:
abc: 9.3476 9.3715 9.4170
angles: 108.56 111.57 108.01
Fractional positions:
Tb 0.0000 0.0000 0.0000
Tb 0.0005 0.2521 0.7294
Tb 0.0057 0.5271 0.4756
Tb 0.1939 0.7208 0.9579
Tb 0.2273 0.9946 0.7426
Tb 0.2711 0.2782 0.4766
Tb 0.2864 0.5296 0.2483
Tb 0.4773 0.4727 0.9584
Tb 0.4768 0.7583 0.7098
Tb 0.4797 0.2317 0.2180
Tb 0.5215 0.0068 0.4850
Tb 0.7062 0.2278 0.9719
Tb 0.7359 0.4608 0.7438
Tb 0.7514 0.0069 0.2142
Tb 0.7588 0.7900 0.4516
Tb 0.9637 0.7393 0.2028
O 0.9995 0.4792 0.1953
O 0.0186 0.0215 0.2677
O 0.2187 0.2298 0.6803
O 0.2274 0.4987 0.4668
O 0.2295 0.2607 0.2025
O 0.2399 0.7737 0.2489
O 0.2408 0.9885 0.9906
O 0.2451 0.4971 0.9824
O 0.2556 0.7481 0.7509
O 0.4492 0.9976 0.6899
O 0.4717 0.2400 0.9757
O 0.4728 0.9559 0.1792
O 0.4963 0.2409 0.4760
O 0.5117 0.5329 0.7425
O 0.5311 0.7630 0.4977
O 0.5493 0.5094 0.2781
O 0.6996 0.7449 0.1784
O 0.7324 0.9822 0.9562
O 0.7380 0.4823 0.9861
O 0.7626 0.2678 0.2582
O 0.7677 0.0362 0.4656
O 0.7692 0.2366 0.7622
O 0.9510 0.7343 0.9471
O 0.9564 0.4717 0.6785
O 0.9759 0.0035 0.7506
O 0.9936 0.7585 0.4667

Peak list (10 most intense, 2θ = 15–90°, sorted by position)
d = 3.138 Å, rel. 1000; d = 3.117 Å, rel. 993; d = 2.750 Å, rel. 191; d = 2.742 Å, rel. 264; d = 2.638 Å, rel. 218; d = 1.944 Å, rel. 146; d = 1.911 Å, rel. 149; d = 1.904 Å, rel. 239; d = 1.892 Å, rel. 147; d = 1.653 Å, rel. 168

Structure and calculated PXRD pattern of KIn2Pb2Br7 (DFT lattice parameters and positions (GGA-PBE); Cu Kα (weighted mean of Kα1 and Kα2)).
No peak broadening, texture or thermal motion is included.

Structure:
abc: 13.7411 13.7411 13.7411
angles: 158.34 37.75 149.46
Fractional positions:
K 0.0000 0.0000 0.0000
In 0.2103 0.5091 0.7012
In 0.8080 0.5091 0.2988
Pb 0.4440 0.0536 0.3904
Pb 0.6632 0.0536 0.6096
Br 0.0901 0.6706 0.4195
Br 0.2167 0.9398 0.2769
Br 0.2511 0.6706 0.5805
Br 0.6349 0.7598 0.8751
Br 0.6628 0.9398 0.7231
Br 0.6866 0.1866 0.5000
Br 0.8847 0.7598 0.1249

Peak list (10 most intense, 2θ = 15–90°, sorted by position)
d = 5.064 Å, rel. 1000; d = 4.224 Å, rel. 537; d = 4.203 Å, rel. 356; d = 3.016 Å, rel. 526; d = 2.944 Å, rel. 508; d = 2.804 Å, rel. 765; d = 2.580 Å, rel. 883; d = 2.571 Å, rel. 630; d = 2.188 Å, rel. 359; d = 2.072 Å, rel. 574

Structure and calculated PXRD pattern of K2PuIO6 (DFT lattice parameters and positions (GGA-PBE); Cu Kα (weighted mean of Kα1 and Kα2)).
No peak broadening, texture or thermal motion is included.

Structure:
abc: 6.5744 6.5744 6.5744
angles: 126.32 126.32 79.36
Fractional positions:
K 0.2500 0.7500 0.5000
K 0.7500 0.2500 0.5000
Pu 0.0000 0.0000 0.0000
I 0.5000 0.5000 0.0000
O 0.1852 0.1852 0.0000
O 0.2524 0.2524 0.5047
O 0.2524 0.7476 0.0000
O 0.7476 0.2524 0.0000
O 0.7476 0.7476 0.4953
O 0.8148 0.8148 0.0000

Peak list (10 most intense, 2θ = 15–90°, sorted by position)
d = 5.121 Å, rel. 237; d = 5.060 Å, rel. 436; d = 4.198 Å, rel. 524; d = 3.231 Å, rel. 1000; d = 2.968 Å, rel. 380; d = 2.530 Å, rel. 189; d = 2.099 Å, rel. 244; d = 1.925 Å, rel. 188; d = 1.760 Å, rel. 349; d = 1.615 Å, rel. 181

Structure and calculated PXRD pattern of NaLa2Ge4Au3 (DFT lattice parameters and positions (GGA-PBE); Cu Kα (weighted mean of Kα1 and Kα2)).
No peak broadening, texture or thermal motion is included.

Structure:
abc: 4.4844 4.4844 11.0257
angles: 90.00 90.00 90.00
Fractional positions:
Na 0.0000 0.0000 0.0000
La 0.0000 0.5000 0.7421
La 0.5000 0.0000 0.2579
Ge 0.0000 0.0000 0.5000
Ge 0.0000 0.5000 0.1448
Ge 0.5000 0.0000 0.8552
Ge 0.5000 0.5000 0.5000
Au 0.0000 0.5000 0.3737
Au 0.5000 0.0000 0.6263
Au 0.5000 0.5000 0.0000

Peak list (10 most intense, 2θ = 15–90°, sorted by position)
d = 3.479 Å, rel. 299; d = 3.171 Å, rel. 304; d = 2.843 Å, rel. 902; d = 2.749 Å, rel. 1000; d = 2.242 Å, rel. 841; d = 2.080 Å, rel. 386; d = 1.979 Å, rel. 428; d = 1.760 Å, rel. 445; d = 1.585 Å, rel. 284; d = 1.484 Å, rel. 338

Structure and calculated PXRD pattern of Er5InTc2 (DFT lattice parameters and positions (GGA-PBE); Cu Kα (weighted mean of Kα1 and Kα2)).
No peak broadening, texture or thermal motion is included.

Structure:
abc: 8.9942 8.9942 8.9942
angles: 130.69 130.69 72.31
Fractional positions:
Er 0.0000 0.0000 0.0000
Er 0.0382 0.5382 0.8469
Er 0.1913 0.0382 0.5000
Er 0.3087 0.8087 0.8469
Er 0.4618 0.3087 0.5000
Er 0.5000 0.5000 0.0000
Er 0.5382 0.6913 0.5000
Er 0.6913 0.1913 0.1531
Er 0.8087 0.9618 0.5000
Er 0.9618 0.4618 0.1531
In 0.2500 0.2500 0.0000
In 0.7500 0.7500 0.0000
Tc 0.1184 0.3816 0.5000
Tc 0.3816 0.8816 0.2632
Tc 0.6184 0.1184 0.7368
Tc 0.8816 0.6184 0.5000

Peak list (10 most intense, 2θ = 15–90°, sorted by position)
d = 3.270 Å, rel. 177; d = 2.997 Å, rel. 209; d = 2.758 Å, rel. 1000; d = 2.653 Å, rel. 196; d = 2.609 Å, rel. 663; d = 2.373 Å, rel. 526; d = 2.196 Å, rel. 226; d = 1.704 Å, rel. 159; d = 1.590 Å, rel. 234; d = 1.442 Å, rel. 213

Structure and calculated PXRD pattern of K2PtCl7 (DFT lattice parameters and positions (GGA-PBE); Cu Kα (weighted mean of Kα1 and Kα2)).
No peak broadening, texture or thermal motion is included.

Structure:
abc: 8.0583 8.0583 11.1292
angles: 107.92 107.92 66.83
Fractional positions:
K 0.1814 0.2111 0.0490
K 0.2111 0.1814 0.5490
K 0.7889 0.8186 0.4510
K 0.8186 0.7889 0.9510
Pt 0.3160 0.6840 0.7500
Pt 0.6840 0.3160 0.2500
Cl 0.0609 0.9391 0.7500
Cl 0.1525 0.6383 0.1953
Cl 0.1681 0.5193 0.7950
Cl 0.2276 0.5712 0.5296
Cl 0.3617 0.8475 0.3047
Cl 0.4288 0.7724 0.9704
Cl 0.4807 0.8319 0.7050
Cl 0.5193 0.1681 0.2950
Cl 0.5712 0.2276 0.0296
Cl 0.6383 0.1525 0.6953
Cl 0.7724 0.4288 0.4704
Cl 0.8319 0.4807 0.2050
Cl 0.8475 0.3617 0.8047
Cl 0.9391 0.0609 0.2500

Peak list (10 most intense, 2θ = 15–90°, sorted by position)
d = 5.413 Å, rel. 845; d = 5.173 Å, rel. 545; d = 4.990 Å, rel. 736; d = 4.078 Å, rel. 416; d = 4.000 Å, rel. 453; d = 3.619 Å, rel. 336; d = 3.368 Å, rel. 437; d = 2.881 Å, rel. 1000; d = 2.554 Å, rel. 421; d = 2.417 Å, rel. 351

Structure and calculated PXRD pattern of Pr2DyErSc (DFT lattice parameters and positions (GGA-PBE); Cu Kα (weighted mean of Kα1 and Kα2)).
No peak broadening, texture or thermal motion is included.

Structure:
abc: 8.5566 8.5566 6.4927
angles: 90.00 90.00 135.43
Fractional positions:
Pr 0.2488 0.2488 0.0000
Pr 0.2488 0.2488 0.5000
Pr 0.7512 0.7512 0.0000
Pr 0.7512 0.7512 0.5000
Dy 0.3385 0.6615 0.7500
Dy 0.6615 0.3385 0.2500
Er 0.2502 0.7498 0.2500
Er 0.7498 0.2502 0.7500
Sc 0.1549 0.8451 0.7500
Sc 0.8451 0.1549 0.2500

Peak list (10 most intense, 2θ = 15–90°, sorted by position)
d = 3.959 Å, rel. 177; d = 3.464 Å, rel. 183; d = 3.003 Å, rel. 1000; d = 2.607 Å, rel. 306; d = 2.510 Å, rel. 131; d = 2.295 Å, rel. 352; d = 1.722 Å, rel. 176; d = 1.623 Å, rel. 120; d = 1.428 Å, rel. 211; d = 1.423 Å, rel. 135

Structure and calculated PXRD pattern of Ac4Sm3Te8 (DFT lattice parameters and positions (GGA-PBE); Cu Kα (weighted mean of Kα1 and Kα2)).
No peak broadening, texture or thermal motion is included.

Structure:
abc: 10.2146 10.2146 10.2146
angles: 50.98 50.98 50.98
Fractional positions:
Ac 0.0000 0.0000 0.0000
Ac 0.1503 0.1503 0.1503
Ac 0.5000 0.5000 0.5000
Ac 0.8497 0.8497 0.8497
Sm 0.0000 0.5000 0.5000
Sm 0.5000 0.0000 0.5000
Sm 0.5000 0.5000 0.0000
Te 0.2499 0.2499 0.7321
Te 0.2499 0.7321 0.2499
Te 0.2679 0.7501 0.7501
Te 0.2690 0.2690 0.2690
Te 0.7310 0.7310 0.7310
Te 0.7321 0.2499 0.2499
Te 0.7501 0.2679 0.7501
Te 0.7501 0.7501 0.2679

Peak list (10 most intense, 2θ = 15–90°, sorted by position)
d = 4.396 Å, rel. 478; d = 3.938 Å, rel. 358; d = 3.769 Å, rel. 263; d = 3.304 Å, rel. 1000; d = 3.121 Å, rel. 379; d = 2.689 Å, rel. 404; d = 2.504 Å, rel. 746; d = 2.199 Å, rel. 937; d = 1.652 Å, rel. 209; d = 1.561 Å, rel. 301

Structure and calculated PXRD pattern of Sm4Ho5Tm4 (DFT lattice parameters and positions (GGA-PBE); Cu Kα (weighted mean of Kα1 and Kα2)).
No peak broadening, texture or thermal motion is included.

Structure:
abc: 9.3804 9.3804 9.3804
angles: 94.08 94.08 149.07
Fractional positions:
Sm 0.0778 0.3826 0.4604
Sm 0.3826 0.9222 0.3048
Sm 0.6174 0.0778 0.6952
Sm 0.9222 0.6174 0.5396
Ho 0.0000 0.0000 0.0000
Ho 0.3098 0.5392 0.8489
Ho 0.4608 0.3098 0.7706
Ho 0.5392 0.6902 0.2294
Ho 0.6902 0.4608 0.1511
Tm 0.1536 0.7701 0.9237
Tm 0.2299 0.1536 0.3834
Tm 0.7701 0.8464 0.6166
Tm 0.8464 0.2299 0.0763

Peak list (10 most intense, 2θ = 15–90°, sorted by position)
d = 2.893 Å, rel. 1000; d = 2.505 Å, rel. 506; d = 1.772 Å, rel. 360; d = 1.512 Å, rel. 285; d = 1.509 Å, rel. 142; d = 1.447 Å, rel. 123; d = 1.150 Å, rel. 59; d = 1.149 Å, rel. 119; d = 1.121 Å, rel. 111; d = 1.119 Å, rel. 56

Structure and calculated PXRD pattern of PuSc6Ru5 (DFT lattice parameters and positions (GGA-PBE); Cu Kα (weighted mean of Kα1 and Kα2)).
No peak broadening, texture or thermal motion is included.

Structure:
abc: 4.5804 6.6561 7.3399
angles: 90.00 108.06 90.00
Fractional positions:
Pu 0.0000 0.0000 0.0000
Sc 0.1764 0.2611 0.3519
Sc 0.1764 0.7389 0.3519
Sc 0.5000 0.2791 0.0000
Sc 0.5000 0.7209 0.0000
Sc 0.8236 0.2611 0.6481
Sc 0.8236 0.7389 0.6481
Ru 0.0000 0.5000 0.0000
Ru 0.3329 0.5000 0.6663
Ru 0.3433 0.0000 0.6909
Ru 0.6567 0.0000 0.3091
Ru 0.6671 0.5000 0.3337

Peak list (10 most intense, 2θ = 15–90°, sorted by position)
d = 3.328 Å, rel. 125; d = 3.264 Å, rel. 228; d = 2.329 Å, rel. 1000; d = 2.290 Å, rel. 197; d = 1.664 Å, rel. 68; d = 1.634 Å, rel. 63; d = 1.346 Å, rel. 65; d = 1.344 Å, rel. 117; d = 1.331 Å, rel. 64; d = 1.329 Å, rel. 64

Structure and calculated PXRD pattern of CsPtBrO (DFT lattice parameters and positions (GGA-PBE); Cu Kα (weighted mean of Kα1 and Kα2)).
No peak broadening, texture or thermal motion is included.

Structure:
abc: 3.8494 6.1983 6.1983
angles: 52.15 90.00 90.00
Fractional positions:
Cs 0.0000 0.0000 0.0000
Pt 0.5000 0.7224 0.7224
Br 0.5000 0.2597 0.2597
O 0.0000 0.7148 0.7148

Peak list (10 most intense, 2θ = 15–90°, sorted by position)
d = 5.567 Å, rel. 349; d = 4.894 Å, rel. 459; d = 3.166 Å, rel. 1000; d = 3.068 Å, rel. 465; d = 3.026 Å, rel. 430; d = 2.784 Å, rel. 367; d = 2.724 Å, rel. 412; d = 2.065 Å, rel. 619; d = 1.947 Å, rel. 258; d = 1.817 Å, rel. 274

Structure and calculated PXRD pattern of SrCa6Tl (DFT lattice parameters and positions (GGA-PBE); Cu Kα (weighted mean of Kα1 and Kα2)).
No peak broadening, texture or thermal motion is included.

Structure:
abc: 4.2083 8.7111 8.7111
angles: 89.88 90.00 90.00
Fractional positions:
Sr 0.0000 0.0000 0.0000
Ca 0.0000 0.5482 0.9934
Ca 0.0000 0.5527 0.5527
Ca 0.0000 0.9934 0.5482
Ca 0.5000 0.2805 0.7623
Ca 0.5000 0.2829 0.2829
Ca 0.5000 0.7623 0.2805
Tl 0.5000 0.7655 0.7655

Peak list (10 most intense, 2θ = 15–90°, sorted by position)
d = 3.895 Å, rel. 123; d = 3.789 Å, rel. 111; d = 3.475 Å, rel. 121; d = 3.080 Å, rel. 501; d = 3.026 Å, rel. 1000; d = 2.859 Å, rel. 223; d = 2.416 Å, rel. 120; d = 2.390 Å, rel. 122; d = 2.178 Å, rel. 167; d = 1.768 Å, rel. 330

Number 6 is which compound? K2PtCl7

Number 12 is which compound? SrCa6Tl